Entry 1:
Theoretical X-ray powder pattern
Compound: Sm2IrSe
Radiation: Cu Ka
Structure: a DFT-relaxed cell (PBE, Alexandria)

Most intense lines, 2θ from 10° to 90°, most intense first:
- 2θ = 30.21°, I = 100.0, hkl 1 0 2
- 2θ = 43.43°, I = 74.4, hkl 1 2 2
- 2θ = 30.46°, I = 53.4, hkl 0 2 0
- 2θ = 10.36°, I = 22.7, hkl 0 0 1
- 2θ = 54.55°, I = 20.8, hkl 2 2 0
- 2θ = 44.11°, I = 19.4, hkl 2 0 0
- 2θ = 71.80°, I = 16.8, hkl 1 4 2
- 2θ = 53.06°, I = 15.9, hkl 0 2 4

Structural model:
a = 4.1059 Å, b = 5.8702 Å, c = 8.5349 Å
α = 90.00°, β = 90.00°, γ = 90.00°
Atoms (fractional coordinates):
Sm: 0.2500 0.2500 0.1264
Sm: 0.2500 0.2500 0.6648
Sm: 0.7500 0.7500 0.3352
Sm: 0.7500 0.7500 0.8736
Ir: 0.2500 0.7500 0.1110
Ir: 0.7500 0.2500 0.8890
Se: 0.2500 0.7500 0.6032
Se: 0.7500 0.2500 0.3968

---

Entry 2:
Theoretical X-ray powder pattern
Compound: AcURh4
Radiation: Cu Ka
Structure: a DFT-relaxed cell (PBE, Alexandria)

Most intense lines, 2θ from 10° to 90°, most intense first:
- 2θ = 40.04°, I = 100.0, hkl 2 1 2
- 2θ = 33.69°, I = 46.4, hkl 2 1 1
- 2θ = 31.33°, I = 36.6, hkl 2 1 0
- 2θ = 34.96°, I = 33.0, hkl 1 1 2
- 2θ = 45.22°, I = 30.6, hkl 0 2 0
- 2θ = 44.57°, I = 22.4, hkl 4 0 0
- 2θ = 36.81°, I = 20.6, hkl 0 0 3
- 2θ = 21.86°, I = 19.3, hkl 2 0 0

Structural model:
a = 8.1314 Å, b = 4.0108 Å, c = 7.3250 Å
α = 90.00°, β = 90.00°, γ = 90.00°
Atoms (fractional coordinates):
Ac: 0.2500 0.0000 0.1692
Ac: 0.7500 0.0000 0.8308
U: 0.2500 0.0000 0.7281
U: 0.7500 0.0000 0.2719
Rh: 0.0000 0.0000 0.5000
Rh: 0.0491 0.5000 0.8153
Rh: 0.2500 0.5000 0.4850
Rh: 0.4509 0.5000 0.8153
Rh: 0.5000 0.0000 0.5000
Rh: 0.5491 0.5000 0.1847
Rh: 0.7500 0.5000 0.5150
Rh: 0.9509 0.5000 0.1847